# MnNb2Te6
Theoretical X-ray powder pattern, copper Kα. Input: a PBE-relaxed structure.
Lines closer than 0.1° are merged.

Structure:
```
9
Lattice="7.496 -1.809 0.000 7.496 1.809 0.000 -2.935 0.000 9.081" Properties=species:S:1:pos:R:3 pbc="T T T"
Mn 0.000 0.000 0.000
Nb 2.811 0.000 5.710
Nb 9.245 0.000 3.371
Te -0.346 0.000 2.678
Te 3.871 0.000 3.126
Te 2.644 0.000 8.637
Te 9.412 0.000 0.444
Te 8.186 0.000 5.955
Te 12.403 0.000 6.403
```

Most intense lines, 2θ = 15–90°, low angle first:
d = 3.349 Å, 2θ 26.61, I 13.4
d = 3.025 Å, 2θ 29.53, I 46.1
d = 2.880 Å, 2θ 31.05, I 100.0
d = 2.385 Å, 2θ 37.72, I 15.4
d = 2.378 Å, 2θ 37.84, I 11.0
d = 2.311 Å, 2θ 38.98, I 31.9
d = 1.916 Å, 2θ 47.46, I 24.0
d = 1.831 Å, 2θ 49.81, I 17.5
d = 1.809 Å, 2θ 50.44, I 13.2
d = 1.553 Å, 2θ 59.53, I 12.3

# SmDy2Y6Er
Theoretical X-ray powder pattern, copper Kα. Input: a PBE-relaxed structure.
Lines closer than 0.1° are merged.

Structure:
```
20
Lattice="4.555 -7.507 0.000 4.555 7.507 0.000 -1.342 0.000 9.515" Properties=species:S:1:pos:R:3 pbc="T T T"
Sm 3.548 7.148 7.136
Sm 4.219 -7.148 2.379
Dy 1.534 0.768 5.202
Dy 2.204 -0.768 0.445
Dy 5.563 0.768 9.070
Dy 6.234 -0.768 4.313
Y 1.738 4.148 6.506
Y 3.902 4.723 0.539
Y 4.536 4.723 4.219
Y 2.463 1.608 8.397
Y 5.358 4.148 7.767
Y 4.634 1.608 5.876
Y 3.134 -1.608 3.639
Y 2.409 -4.148 1.748
Y 5.304 -1.608 1.118
Y 3.232 -4.723 5.296
Y 3.865 -4.723 8.976
Y 6.029 -4.148 3.009
Er 4.219 1.364 2.379
Er 3.548 -1.364 7.136
```

Most intense lines, 2θ = 15–90°, low angle first:
d = 3.193 Å, 2θ 27.94, I 28.0
d = 3.117 Å, 2θ 28.64, I 37.1
d = 2.932 Å, 2θ 30.49, I 44.1
d = 2.922 Å, 2θ 30.60, I 46.3
d = 2.849 Å, 2θ 31.40, I 40.2
d = 2.836 Å, 2θ 31.54, I 100.0
d = 2.763 Å, 2θ 32.40, I 24.8
d = 2.696 Å, 2θ 33.23, I 15.9
d = 2.655 Å, 2θ 33.76, I 39.4
d = 1.526 Å, 2θ 60.67, I 14.5

# Ba7Ga4P9
Theoretical X-ray powder pattern, copper Kα. Input: a PBE-relaxed structure.
Lines closer than 0.1° are merged.

Structure:
```
40
Lattice="9.965 0.000 0.000 0.000 16.807 0.000 0.000 0.000 6.740" Properties=species:S:1:pos:R:3 pbc="T T T"
Ba 0.299 2.099 0.398
Ba 0.299 6.304 0.398
Ba 2.491 0.536 3.724
Ba 2.491 7.868 3.724
Ba 2.491 12.605 4.044
Ba 4.684 2.099 0.398
Ba 4.684 6.304 0.398
Ba 5.282 10.503 6.342
Ba 5.282 14.708 6.342
Ba 7.474 4.202 2.696
Ba 7.474 8.939 3.016
Ba 7.474 16.272 3.016
Ba 9.667 10.503 6.342
Ba 9.667 14.708 6.342
Ga 0.743 4.202 3.882
Ga 2.491 10.549 1.562
Ga 2.491 14.661 1.562
Ga 4.240 4.202 3.882
Ga 5.726 12.605 2.858
Ga 7.474 2.146 5.178
Ga 7.474 6.258 5.178
Ga 9.223 12.605 2.858
P 0.413 10.483 2.930
P 0.413 14.727 2.930
P 2.491 4.202 2.128
P 2.491 4.202 5.635
P 2.491 8.652 0.146
P 2.491 12.605 0.330
P 2.491 16.558 0.146
P 4.569 10.483 2.930
P 4.569 14.727 2.930
P 5.396 2.080 3.810
P 5.396 6.324 3.810
P 7.474 0.249 6.594
P 7.474 4.202 6.409
P 7.474 8.155 6.594
P 7.474 12.605 1.105
P 7.474 12.605 4.612
P 9.552 2.080 3.810
P 9.552 6.324 3.810
```

Most intense lines, 2θ = 15–90°, low angle first:
d = 4.007 Å, 2θ 22.19, I 65.6
d = 3.566 Å, 2θ 24.97, I 93.3
d = 3.370 Å, 2θ 26.45, I 41.7
d = 3.259 Å, 2θ 27.37, I 65.9
d = 3.212 Å, 2θ 27.77, I 100.0
d = 2.884 Å, 2θ 31.01, I 40.3
d = 2.754 Å, 2θ 32.52, I 56.8
d = 2.631 Å, 2θ 34.08, I 64.8
d = 2.491 Å, 2θ 36.05, I 43.1
d = 2.325 Å, 2θ 38.73, I 66.8

# Tb3Dy8Y2
Theoretical X-ray powder pattern, copper Kα. Input: a PBE-relaxed structure.
Lines closer than 0.1° are merged.

Structure:
```
13
Lattice="-2.799 3.401 11.130 2.799 -3.401 11.130 2.799 3.401 -11.130" Properties=species:S:1:pos:R:3 pbc="T T T"
Tb 0.000 0.000 0.000
Tb 2.799 1.789 0.000
Tb 0.000 1.612 11.130
Dy 2.799 1.782 -3.377
Dy 0.000 0.000 4.039
Dy 2.799 1.782 3.377
Dy 2.799 0.000 9.465
Dy 0.000 3.401 1.665
Dy 0.000 1.618 7.753
Dy 0.000 0.000 18.221
Dy 0.000 1.618 14.507
Y 2.799 0.000 6.161
Y 0.000 3.401 4.969
```

Most intense lines, 2θ = 15–90°, low angle first:
d = 3.716 Å, 2θ 23.95, I 33.5
d = 2.882 Å, 2θ 31.03, I 100.0
d = 2.815 Å, 2θ 31.79, I 42.1
d = 2.799 Å, 2θ 31.97, I 48.3
d = 2.765 Å, 2θ 32.38, I 40.6
d = 2.434 Å, 2θ 36.93, I 16.2
d = 2.236 Å, 2θ 40.34, I 17.3
d = 1.632 Å, 2θ 56.39, I 17.1
d = 1.475 Å, 2θ 63.01, I 13.5
d = 1.453 Å, 2θ 64.06, I 14.5

# La4Al5Br2
Theoretical X-ray powder pattern, copper Kα. Input: a PBE-relaxed structure.
Lines closer than 0.1° are merged.

Structure:
```
22
Lattice="8.121 -8.663 0.000 8.121 8.663 0.000 0.000 0.000 4.362" Properties=species:S:1:pos:R:3 pbc="T T T"
La 8.121 6.318 0.000
La 5.826 3.152 2.181
La 3.807 0.000 0.000
La 10.417 3.152 2.181
La 5.826 -3.152 2.181
La 12.436 0.000 0.000
La 10.417 -3.152 2.181
La 8.121 -6.318 0.000
Al 2.470 2.284 2.181
Al 3.464 3.198 0.000
Al 1.285 0.000 2.181
Al 2.470 -2.284 2.181
Al 3.464 -3.198 0.000
Al 12.779 3.198 0.000
Al 13.773 2.284 2.181
Al 14.957 0.000 2.181
Al 12.779 -3.198 0.000
Al 13.773 -2.284 2.181
Br 8.121 3.018 0.000
Br 6.107 0.000 2.181
Br 10.135 0.000 2.181
Br 8.121 -3.018 0.000
```

Most intense lines, 2θ = 15–90°, low angle first:
d = 3.822 Å, 2θ 23.27, I 19.9
d = 3.513 Å, 2θ 25.36, I 25.6
d = 3.389 Å, 2θ 26.30, I 20.3
d = 2.972 Å, 2θ 30.07, I 100.0
d = 2.888 Å, 2θ 30.97, I 34.8
d = 2.875 Å, 2θ 31.11, I 34.2
d = 2.426 Å, 2θ 37.06, I 44.7
d = 2.181 Å, 2θ 41.40, I 25.4
d = 2.071 Å, 2θ 43.71, I 43.2
d = 1.929 Å, 2θ 47.12, I 21.4

# Er2PaGeO8
Theoretical X-ray powder pattern, copper Kα. Input: a PBE-relaxed structure.
Lines closer than 0.1° are merged.

Structure:
```
12
Lattice="3.461 -3.556 0.000 3.461 3.556 0.000 0.000 0.000 6.699" Properties=species:S:1:pos:R:3 pbc="T T T"
Er 0.000 0.000 1.589
Er 0.000 0.000 5.110
Pa 3.461 0.000 3.350
Ge 3.461 0.000 0.000
O 1.361 0.000 3.350
O 1.581 0.000 0.000
O 3.461 1.296 1.504
O 3.461 1.296 5.196
O 3.461 -1.296 1.504
O 3.461 -1.296 5.196
O 5.341 0.000 0.000
O 5.561 0.000 3.350
```

Most intense lines, 2θ = 15–90°, low angle first:
d = 3.987 Å, 2θ 22.30, I 19.4
d = 3.556 Å, 2θ 25.04, I 59.9
d = 3.461 Å, 2θ 25.74, I 53.3
d = 2.776 Å, 2θ 32.25, I 100.0
d = 2.480 Å, 2θ 36.22, I 30.2
d = 1.864 Å, 2θ 48.87, I 41.3
d = 1.836 Å, 2θ 49.66, I 36.3
d = 1.515 Å, 2θ 61.16, I 10.4
d = 1.483 Å, 2θ 62.66, I 22.0
d = 1.388 Å, 2θ 67.48, I 10.6

# MnAg4Sb2S6
Theoretical X-ray powder pattern, copper Kα. Input: a PBE-relaxed structure.
Lines closer than 0.1° are merged.

Structure:
```
26
Lattice="6.720 0.000 0.000 0.000 8.000 0.000 -6.406 0.000 10.634" Properties=species:S:1:pos:R:3 pbc="T T T"
Mn 0.000 0.000 0.000
Mn -3.203 4.000 5.317
Ag -0.368 1.629 3.380
Ag -3.571 2.371 8.698
Ag 1.610 4.262 0.290
Ag -1.593 7.738 5.607
Ag 1.907 0.262 5.027
Ag -1.296 3.738 10.344
Ag 3.885 5.629 1.937
Ag 0.682 6.371 7.254
Sb 0.283 5.189 3.304
Sb -2.920 6.811 8.621
Sb 3.234 1.189 2.014
Sb 0.031 2.811 7.331
S -3.960 4.743 7.654
S -0.758 7.257 2.337
S -2.118 1.935 6.443
S 1.085 2.065 1.125
S -0.986 5.389 5.467
S 2.217 6.611 0.150
S -1.903 1.389 10.484
S 1.300 2.611 5.167
S -0.771 5.935 9.509
S 2.432 6.065 4.192
S 1.072 0.743 8.297
S 4.274 3.257 2.980
```

Most intense lines, 2θ = 15–90°, low angle first:
d = 3.743 Å, 2θ 23.77, I 63.8
d = 3.197 Å, 2θ 27.91, I 61.8
d = 3.097 Å, 2θ 28.82, I 100.0
d = 2.995 Å, 2θ 29.83, I 85.7
d = 2.889 Å, 2θ 30.96, I 42.9
d = 2.878 Å, 2θ 31.07, I 62.5
d = 2.513 Å, 2θ 35.73, I 30.1
d = 2.420 Å, 2θ 37.16, I 45.4
d = 2.118 Å, 2θ 42.68, I 33.4
d = 2.043 Å, 2θ 44.33, I 49.4